Entry 1:
Diffraction record for ZrAlCo. The powder XRD pattern is calculated, not measured: it uses a structure optimized by DFT (GGA-PBE) and Cu Ka.

```
ZrAlCo
1.0
8.168 0.000 0.000
0.000 2.609 4.450
0.000 -2.609 4.450
Zr Al Co
4 4 4
Direct
0.173 0.000 0.000
0.289 0.335 0.335
0.711 0.335 0.335
0.827 0.000 0.000
0.234 0.676 0.676
0.500 0.326 0.836
0.500 0.836 0.326
0.766 0.676 0.676
0.000 0.019 0.496
0.000 0.496 0.019
0.000 0.500 0.500
0.500 0.836 0.836
```

Principal peaks in the range 10 to 80 degrees two-theta, by intensity:
two_theta	I/Imax
41.41	100
38.65	91
41.62	72
10.83	45
34.78	38
41.05	36
42.09	33
38.77	31
34.37	30
29.53	25



Entry 2:
Diffraction record for Mg14AlZn. The powder XRD pattern is calculated, not measured: it uses a structure optimized by DFT (GGA-PBE) and Cu Ka.

```
Mg14AlZn
1.0
10.285 0.000 0.000
0.000 3.144 5.388
0.000 -3.144 5.388
Mg Al Zn
14 1 1
Direct
0.000 0.000 0.000
0.000 0.001 0.502
0.000 0.500 0.500
0.000 0.502 0.001
0.251 0.166 0.166
0.252 0.666 0.666
0.257 0.170 0.669
0.257 0.669 0.170
0.500 0.000 0.500
0.500 0.500 0.000
0.743 0.170 0.669
0.743 0.669 0.170
0.748 0.666 0.666
0.749 0.166 0.166
0.500 0.002 0.002
0.500 0.501 0.501
```

Principal peaks in the range 10 to 80 degrees two-theta, by intensity:
two_theta	I/Imax
37.45	100
37.70	48
34.89	40
32.99	24
64.26	19
70.64	19
59.25	16
48.78	15
71.92	13
33.26	12